Record 1
Structure and theoretical powder diffractogram of Y2Er2Tm3Ni2Te2 (a crystal structure in OQMD, relaxed with GGA-PBE; Cu Ka).

Principal peaks in the range 10° ≤ 2θ ≤ 80°, in order of rising 2θ:
2θ = 30.5°, I 50
2θ = 33.1°, I 61
2θ = 34.2°, I 100
2θ = 34.7°, I 49
2θ = 45.2°, I 15
2θ = 47.5°, I 23
2θ = 51.4°, I 24
2θ = 59.1°, I 29

Cell and atoms:
a b c (Å): 9.3078 9.3078 9.3078
angles (deg): 156.27 67.07 118.31
Sites, in units of the cell vectors:
Y  0.1845  0.0000  0.1845
Y  0.8155  0.0000  0.8155
Er  0.5028  0.6493  0.8535
Er  0.7958  0.6493  0.1465
Tm  0.1642  0.7970  0.3672
Tm  0.4298  0.7970  0.6328
Tm  0.8779  0.3779  0.5000
Ni  0.0435  0.3045  0.7390
Ni  0.5655  0.3045  0.2610
Te  0.1444  0.1444  0.0000
Te  0.5416  0.0416  0.5000

Record 2
Structure and theoretical powder diffractogram of YEr2Tm4Ni2Te2 (a crystal structure in OQMD, relaxed with GGA-PBE; Cu Ka).

Principal peaks in the range 10° ≤ 2θ ≤ 80°, in order of rising 2θ:
2θ = 25.1°, I 26
2θ = 30.6°, I 43
2θ = 33.3°, I 82
2θ = 34.3°, I 100
2θ = 34.8°, I 82
2θ = 38.8°, I 21
2θ = 47.6°, I 29
2θ = 59.3°, I 31

Cell and atoms:
a b c (Å): 9.2609 9.2609 9.2609
angles (deg): 156.19 66.97 118.45
Sites, in units of the cell vectors:
Y  0.0000  0.0000  0.0000
Er  0.3057  0.6204  0.6853
Er  0.9351  0.6204  0.3147
Tm  0.2853  0.4180  0.8673
Tm  0.5507  0.4180  0.1327
Tm  0.6220  0.2693  0.3526
Tm  0.9167  0.2693  0.6474
Ni  0.1663  0.9278  0.2384
Ni  0.6894  0.9278  0.7616
Te  0.2658  0.7658  0.5000
Te  0.6634  0.6634  0.0000

Record 3
Structure and theoretical powder diffractogram of YEr4Tm2Ni2Te2 (a crystal structure in OQMD, relaxed with GGA-PBE; Cu Ka).

Principal peaks in the range 10° ≤ 2θ ≤ 80°, in order of rising 2θ:
2θ = 25.1°, I 26
2θ = 30.6°, I 43
2θ = 33.3°, I 82
2θ = 34.3°, I 100
2θ = 34.8°, I 83
2θ = 38.8°, I 21
2θ = 47.5°, I 29
2θ = 59.3°, I 31

Cell and atoms:
a b c (Å): 9.2687 9.2687 9.2687
angles (deg): 156.19 66.91 118.51
Sites, in units of the cell vectors:
Y  0.0000  0.0000  0.0000
Er  0.3058  0.6205  0.6853
Er  0.6216  0.2691  0.3525
Er  0.9166  0.2691  0.6475
Er  0.9352  0.6205  0.3147
Tm  0.2847  0.4176  0.8671
Tm  0.5505  0.4176  0.1329
Ni  0.1666  0.9279  0.2386
Ni  0.6893  0.9279  0.7614
Te  0.2660  0.7660  0.5000
Te  0.6627  0.6627  0.0000

Record 4
Structure and theoretical powder diffractogram of Y2ErTm4Ni2Te2 (a crystal structure in OQMD, relaxed with GGA-PBE; Cu Ka).

Principal peaks in the range 10° ≤ 2θ ≤ 80°, in order of rising 2θ:
2θ = 29.1°, I 49
2θ = 30.5°, I 54
2θ = 33.1°, I 91
2θ = 34.3°, I 100
2θ = 34.8°, I 74
2θ = 36.8°, I 38
2θ = 51.5°, I 36
2θ = 59.1°, I 41

Cell and atoms:
a b c (Å): 9.2842 9.2842 9.2842
angles (deg): 156.21 67.15 118.25
Sites, in units of the cell vectors:
Y  0.1316  0.0000  0.1316
Y  0.8684  0.0000  0.8684
Er  0.5811  0.5811  0.0000
Tm  0.2059  0.8532  0.3527
Tm  0.5006  0.8532  0.6473
Tm  0.5158  0.2012  0.3146
Tm  0.8866  0.2012  0.6854
Ni  0.2742  0.5098  0.7644
Ni  0.7455  0.5098  0.2356
Te  0.2481  0.2481  0.0000
Te  0.8437  0.3437  0.5000

Record 5
Structure and theoretical powder diffractogram of YEr2Tm4Ni2Te2 (a crystal structure in OQMD, relaxed with GGA-PBE; Cu Ka).

Principal peaks in the range 10° ≤ 2θ ≤ 80°, in order of rising 2θ:
2θ = 25.1°, I 26
2θ = 30.5°, I 43
2θ = 33.2°, I 83
2θ = 34.3°, I 100
2θ = 34.7°, I 83
2θ = 38.7°, I 22
2θ = 47.5°, I 30
2θ = 59.1°, I 32

Cell and atoms:
a b c (Å): 9.2835 9.2835 9.2835
angles (deg): 156.18 66.97 118.45
Sites, in units of the cell vectors:
Y  0.0000  0.0000  0.0000
Er  0.2851  0.4180  0.8671
Er  0.5509  0.4180  0.1329
Tm  0.3061  0.6206  0.6855
Tm  0.6220  0.2697  0.3523
Tm  0.9173  0.2697  0.6477
Tm  0.9352  0.6206  0.3145
Ni  0.1660  0.9281  0.2379
Ni  0.6902  0.9281  0.7621
Te  0.2652  0.7652  0.5000
Te  0.6639  0.6639  0.0000

Record 6
Structure and theoretical powder diffractogram of Y2Er2Tm3Ni2Te2 (a crystal structure in OQMD, relaxed with GGA-PBE; Cu Ka).

Principal peaks in the range 10° ≤ 2θ ≤ 80°, in order of rising 2θ:
2θ = 25.0°, I 22
2θ = 30.3°, I 27
2θ = 30.5°, I 49
2θ = 33.1°, I 79
2θ = 34.2°, I 100
2θ = 34.7°, I 88
2θ = 47.4°, I 33
2θ = 59.0°, I 30

Cell and atoms:
a b c (Å): 9.3104 9.3104 9.3104
angles (deg): 156.21 66.94 118.47
Sites, in units of the cell vectors:
Y  0.1464  0.0000  0.1464
Y  0.8536  0.0000  0.8536
Er  0.1667  0.3513  0.8154
Er  0.5359  0.3513  0.1846
Tm  0.2316  0.7316  0.5000
Tm  0.5157  0.1486  0.3670
Tm  0.7816  0.1486  0.6330
Ni  0.4004  0.6608  0.7396
Ni  0.9212  0.6608  0.2604
Te  0.4964  0.4964  0.0000
Te  0.8935  0.3935  0.5000

Record 7
Structure and theoretical powder diffractogram of YEr4Tm2Ni2Te2 (a crystal structure in OQMD, relaxed with GGA-PBE; Cu Ka).

Principal peaks in the range 10° ≤ 2θ ≤ 80°, in order of rising 2θ:
2θ = 25.1°, I 25
2θ = 30.6°, I 43
2θ = 33.2°, I 82
2θ = 34.3°, I 100
2θ = 34.8°, I 81
2θ = 38.8°, I 21
2θ = 47.6°, I 29
2θ = 59.3°, I 31

Cell and atoms:
a b c (Å): 9.2708 9.2708 9.2708
angles (deg): 156.20 66.94 118.48
Sites, in units of the cell vectors:
Y  0.0000  0.0000  0.0000
Er  0.2856  0.4181  0.8675
Er  0.3057  0.6204  0.6853
Er  0.5507  0.4181  0.1325
Er  0.9351  0.6204  0.3147
Tm  0.6222  0.2695  0.3527
Tm  0.9168  0.2695  0.6473
Ni  0.1660  0.9279  0.2381
Ni  0.6898  0.9279  0.7619
Te  0.2653  0.7653  0.5000
Te  0.6640  0.6640  0.0000

Record 8
Structure and theoretical powder diffractogram of Y2Er4TmNi2Te2 (a crystal structure in OQMD, relaxed with GGA-PBE; Cu Ka).

Principal peaks in the range 10° ≤ 2θ ≤ 80°, in order of rising 2θ:
2θ = 30.3°, I 29
2θ = 30.5°, I 49
2θ = 33.1°, I 78
2θ = 34.2°, I 100
2θ = 34.7°, I 87
2θ = 47.5°, I 33
2θ = 51.4°, I 23
2θ = 59.1°, I 35

Cell and atoms:
a b c (Å): 9.3061 9.3061 9.3061
angles (deg): 156.24 66.98 118.42
Sites, in units of the cell vectors:
Y  0.1464  0.0000  0.1464
Y  0.8536  0.0000  0.8536
Er  0.1666  0.3511  0.8155
Er  0.5177  0.1496  0.3682
Er  0.5356  0.3511  0.1845
Er  0.7814  0.1496  0.6318
Tm  0.2318  0.7318  0.5000
Ni  0.3987  0.6600  0.7388
Ni  0.9212  0.6600  0.2612
Te  0.4959  0.4959  0.0000
Te  0.8956  0.3956  0.5000

Record 9
Structure and theoretical powder diffractogram of Y2Er2Tm3Ni2Te2 (a crystal structure in OQMD, relaxed with GGA-PBE; Cu Ka).

Principal peaks in the range 10° ≤ 2θ ≤ 80°, in order of rising 2θ:
2θ = 30.3°, I 29
2θ = 30.5°, I 50
2θ = 33.1°, I 79
2θ = 34.2°, I 100
2θ = 34.7°, I 88
2θ = 47.4°, I 33
2θ = 51.3°, I 23
2θ = 59.1°, I 36

Cell and atoms:
a b c (Å): 9.3084 9.3084 9.3084
angles (deg): 156.24 67.00 118.39
Sites, in units of the cell vectors:
Y  0.1464  0.0000  0.1464
Y  0.8536  0.0000  0.8536
Er  0.5179  0.1497  0.3682
Er  0.7814  0.1497  0.6318
Tm  0.1666  0.3511  0.8155
Tm  0.2319  0.7319  0.5000
Tm  0.5356  0.3511  0.1845
Ni  0.3987  0.6600  0.7387
Ni  0.9213  0.6600  0.2613
Te  0.4959  0.4959  0.0000
Te  0.8958  0.3958  0.5000

Record 10
Structure and theoretical powder diffractogram of Y2Er2Tm3Ni2Te2 (a crystal structure in OQMD, relaxed with GGA-PBE; Cu Ka).

Principal peaks in the range 10° ≤ 2θ ≤ 80°, in order of rising 2θ:
2θ = 29.0°, I 47
2θ = 30.4°, I 54
2θ = 33.0°, I 89
2θ = 34.2°, I 100
2θ = 34.7°, I 71
2θ = 36.6°, I 38
2θ = 51.4°, I 36
2θ = 59.0°, I 41

Cell and atoms:
a b c (Å): 9.3061 9.3061 9.3061
angles (deg): 156.24 67.29 118.08
Sites, in units of the cell vectors:
Y  0.1313  0.0000  0.1313
Y  0.8687  0.0000  0.8687
Er  0.5158  0.2012  0.3146
Er  0.8866  0.2012  0.6854
Tm  0.2075  0.8541  0.3534
Tm  0.5007  0.8541  0.6466
Tm  0.5803  0.5803  0.0000
Ni  0.2740  0.5090  0.7651
Ni  0.7439  0.5090  0.2349
Te  0.2481  0.2481  0.0000
Te  0.8428  0.3428  0.5000

Record 11
Structure and theoretical powder diffractogram of Y4Er3Ni2Te2 (a crystal structure in OQMD, relaxed with GGA-PBE; Cu Ka).

Principal peaks in the range 10° ≤ 2θ ≤ 80°, in order of rising 2θ:
2θ = 28.8°, I 39
2θ = 30.3°, I 51
2θ = 32.9°, I 92
2θ = 34.0°, I 100
2θ = 34.4°, I 95
2θ = 36.5°, I 35
2θ = 47.1°, I 35
2θ = 58.7°, I 40

Cell and atoms:
a b c (Å): 9.3692 9.3692 9.3692
angles (deg): 156.24 66.91 118.49
Sites, in units of the cell vectors:
Y  0.1314  0.0000  0.1314
Y  0.2051  0.8513  0.3538
Y  0.4976  0.8513  0.6462
Y  0.8686  0.0000  0.8686
Er  0.5166  0.2013  0.3153
Er  0.5827  0.5827  0.0000
Er  0.8859  0.2013  0.6847
Ni  0.2736  0.5115  0.7621
Ni  0.7494  0.5115  0.2379
Te  0.2469  0.2469  0.0000
Te  0.8454  0.3454  0.5000

Record 12
Structure and theoretical powder diffractogram of Y4Er3Ni2Te2 (a crystal structure in OQMD, relaxed with GGA-PBE; Cu Ka).

Principal peaks in the range 10° ≤ 2θ ≤ 80°, in order of rising 2θ:
2θ = 30.2°, I 17
2θ = 30.4°, I 46
2θ = 32.9°, I 57
2θ = 34.1°, I 100
2θ = 34.5°, I 56
2θ = 47.2°, I 26
2θ = 51.1°, I 21
2θ = 58.8°, I 27

Cell and atoms:
a b c (Å): 9.3447 9.3447 9.3447
angles (deg): 156.24 67.01 118.38
Sites, in units of the cell vectors:
Y  0.1461  0.0000  0.1461
Y  0.1673  0.3516  0.8157
Y  0.5359  0.3516  0.1843
Y  0.8539  0.0000  0.8539
Er  0.2315  0.7315  0.5000
Er  0.5174  0.1494  0.3680
Er  0.7815  0.1494  0.6320
Ni  0.3984  0.6592  0.7392
Ni  0.9200  0.6592  0.2608
Te  0.4961  0.4961  0.0000
Te  0.8950  0.3950  0.5000